# 1
Theoretical powder diffraction line list of CaV2O8 for Cu Kα X-rays, from a crystal structure in the Materials Project, relaxed with PBE+U.
Neutral-atom scattering factors, no anomalous dispersion.

Largest 6 diffraction maxima, most intense first, 2θ = 15–90°:
2θ = 15.61°, intensity 1000, (1 0 0); 2θ = 27.66°, intensity 190, (-1 2 1); 2θ = 27.13°, intensity 160, (0 2 0); 2θ = 21.87°, intensity 152, (0 0 2); 2θ = 30.16°, intensity 129, (0 2 -2); 2θ = 31.43°, intensity 123, (2 0 -2)

abc: 6.5516 7.3630 8.7752
angles: 97.27 106.17 112.32
Sites, in units of the cell vectors:
Ca (0.1915, 0.3842, 0.1380)
Ca (0.8085, 0.6158, 0.8620)
V (0.1022, 0.9367, 0.6620)
V (0.1163, 0.4312, 0.6532)
V (0.8837, 0.5688, 0.3468)
V (0.8978, 0.0633, 0.3380)
O (0.0172, 0.0853, 0.1881)
O (0.0201, 0.6421, 0.5978)
O (0.0452, 0.1575, 0.5914)
O (0.0867, 0.4614, 0.8548)
O (0.2295, 0.6377, 0.3486)
O (0.3885, 0.0351, 0.7486)
O (0.4073, 0.5448, 0.7016)
O (0.4797, 0.5771, 0.0136)
O (0.5203, 0.4229, 0.9864)
O (0.5927, 0.4552, 0.2984)
O (0.6115, 0.9649, 0.2514)
O (0.7705, 0.3623, 0.6514)
O (0.9133, 0.5386, 0.1452)
O (0.9548, 0.8425, 0.4086)
O (0.9799, 0.3579, 0.4022)
O (0.9828, 0.9147, 0.8119)

---

# 2
Theoretical powder diffraction line list of MgCr4O12 for Cu Kα X-rays, from a crystal structure in the Materials Project, relaxed with PBE+U.
Neutral-atom scattering factors, no anomalous dispersion.

Largest 6 diffraction maxima, most intense first, 2θ = 15–90°:
2θ = 16.66°, intensity 1000, (0 1 1); 2θ = 24.72°, intensity 664, (1 -1 1); 2θ = 24.31°, intensity 528, (1 1 -1); 2θ = 27.20°, intensity 405, (1 2 0); 2θ = 32.45°, intensity 322, (2 1 1); 2θ = 18.07°, intensity 313, (0 1 -1)

abc: 5.6506 7.2548 7.6116
angles: 82.74 77.52 76.79
Sites, in units of the cell vectors:
Mg (0.0000, 0.0000, 0.0000)
Cr (0.2546, 0.5348, 0.1747)
Cr (0.3033, 0.9476, 0.5853)
Cr (0.7650, 0.3301, 0.3433)
Cr (0.8225, 0.7458, 0.7455)
O (0.1000, 0.7744, 0.6086)
O (0.1885, 0.0784, 0.7605)
O (0.2014, 0.7574, 0.0847)
O (0.3334, 0.0515, 0.3848)
O (0.3381, 0.3934, 0.0189)
O (0.4874, 0.5050, 0.2957)
O (0.5923, 0.7807, 0.6223)
O (0.7140, 0.2510, 0.5510)
O (0.7557, 0.8965, 0.9028)
O (0.8578, 0.5343, 0.8393)
O (0.8605, 0.1725, 0.1887)
O (0.9852, 0.4909, 0.3115)